(1)
Calculated X-ray diffraction stick pattern
Compound: Ba5CdRh2
Radiation: Cu Kα
Structure: DFT lattice parameters and positions (PBE)

Peak list (6 most intense, 15 to 90 degrees two-theta, in order of rising 2θ)
24.82 deg, d 3.587, I 63
29.90 deg, d 2.988, I 100
30.64 deg, d 2.918, I 42
31.60 deg, d 2.831, I 45
33.49 deg, d 2.675, I 41
38.84 deg, d 2.318, I 31

Crystal structure
Cell lengths 9.6764, 9.6764, 9.6764 Å; angles 152.28, 130.95, 57.27 degrees
Atoms (fractional coordinates):
Ba: 0.0000 0.0000 0.0000
Ba: 0.1053 0.3443 0.7610
Ba: 0.4167 0.6557 0.7610
Ba: 0.5833 0.3443 0.2390
Ba: 0.8947 0.6557 0.2390
Cd: 0.5000 0.0000 0.5000
Rh: 0.1817 0.1817 0.0000
Rh: 0.8183 0.8183 0.0000

(2)
Calculated X-ray diffraction stick pattern
Compound: Tb6Nd5Tm
Radiation: Cu Kα
Structure: DFT lattice parameters and positions (PBE)

Peak list (6 most intense, 15 to 90 degrees two-theta, in order of rising 2θ)
30.36 deg, d 2.944, I 100
30.45 deg, d 2.936, I 33
35.23 deg, d 2.548, I 67
50.62 deg, d 1.803, I 24
50.73 deg, d 1.799, I 24
60.21 deg, d 1.537, I 43

Crystal structure
Cell lengths 6.2460, 6.2460, 11.9243 Å; angles 95.00, 95.00, 119.98 degrees
Atoms (fractional coordinates):
Tb: 0.0822 0.4146 0.2485
Tb: 0.2500 0.2500 0.7513
Tb: 0.4146 0.0822 0.2485
Tb: 0.5854 0.9178 0.7515
Tb: 0.7500 0.7500 0.2487
Tb: 0.9178 0.5854 0.7515
Nd: 0.1666 0.8334 0.5000
Nd: 0.3334 0.6666 0.0000
Nd: 0.5000 0.5000 0.5000
Nd: 0.6666 0.3334 0.0000
Nd: 0.8334 0.1666 0.5000
Tm: 0.0000 0.0000 0.0000

Repeat the first record exactly.
Calculated X-ray diffraction stick pattern
Compound: Ba5CdRh2
Radiation: Cu Kα
Structure: DFT lattice parameters and positions (PBE)

Peak list (6 most intense, 15 to 90 degrees two-theta, in order of rising 2θ)
24.82 deg, d 3.587, I 63
29.90 deg, d 2.988, I 100
30.64 deg, d 2.918, I 42
31.60 deg, d 2.831, I 45
33.49 deg, d 2.675, I 41
38.84 deg, d 2.318, I 31

Crystal structure
Cell lengths 9.6764, 9.6764, 9.6764 Å; angles 152.28, 130.95, 57.27 degrees
Atoms (fractional coordinates):
Ba: 0.0000 0.0000 0.0000
Ba: 0.1053 0.3443 0.7610
Ba: 0.4167 0.6557 0.7610
Ba: 0.5833 0.3443 0.2390
Ba: 0.8947 0.6557 0.2390
Cd: 0.5000 0.0000 0.5000
Rh: 0.1817 0.1817 0.0000
Rh: 0.8183 0.8183 0.0000